Diffraction record for YTm2MgTl4. The powder X-ray diffraction pattern is calculated, not measured: it uses a cell relaxed with PBE and Cu Ka.
Kinematic intensities with the Lorentz-polarization factor, no thermal factor.

Top 12 peaks for 2θ from 15° to 90°, most intense first:
| Position (°2θ) | d (Å) | Rel. int. |
| --- | --- | --- |
| 33.47 | 2.677 | 100 |
| 34.29 | 2.615 | 96 |
| 60.88 | 1.522 | 36 |
| 48.67 | 1.871 | 35 |
| 59.30 | 1.558 | 19 |
| 23.78 | 3.742 | 18 |
| 61.40 | 1.510 | 18 |
| 82.00 | 1.175 | 16 |
| 80.62 | 1.192 | 16 |
| 72.25 | 1.308 | 11 |
| 70.32 | 1.339 | 11 |
| 20.72 | 4.287 | 9 |

Atomic structure:
```
YTm2MgTl4
1.0
2.6154 1.5100 8.8510
-2.6154 1.5100 8.8510
0.0000 -3.0200 8.8510
Y Tm Mg Tl
1 2 1 4
direct
0.0000 0.0000 0.0000 Y
0.2449 0.2449 0.2449 Tm
0.7551 0.7551 0.7551 Tm
0.5000 0.5000 0.5000 Mg
0.1252 0.1252 0.1252 Tl
0.3768 0.3768 0.3768 Tl
0.6232 0.6232 0.6232 Tl
0.8748 0.8748 0.8748 Tl
```